Li4Ti3Fe3Sn2O16: theoretical powder diffraction line list (Cu Kα, 1.54184 Å), based on a GGA+U-relaxed structure.

The 10 most intense peaks (10 to 90 degrees two-theta), in order of falling intensity:
2θ (°), intensity
19.30, 1000
35.07, 444
32.39, 231
34.76, 214
19.13, 208
61.52, 200
59.08, 195
35.64, 183
25.00, 166
32.21, 158

Structural model:
```
Li4Ti3Fe3Sn2O16
1.0
5.2308 -2.9993 0.0000
5.2308 2.9993 0.0000
-0.1129 0.0000 9.8265
Li Ti Fe Sn O
4 3 3 2 16
direct
0.0000 0.0000 0.0000
0.0013 0.0013 0.4995
0.3399 0.3399 0.5949
0.6739 0.6739 0.0933
0.1697 0.6614 0.2771
0.6614 0.1697 0.2771
0.8321 0.8321 0.7733
0.1737 0.1737 0.2791
0.3417 0.8328 0.7794
0.8328 0.3417 0.7794
0.3340 0.3340 0.9992
0.6620 0.6620 0.5015
0.0425 0.5006 0.1489
0.1614 0.1614 0.8948
0.1618 0.6759 0.8894
0.3215 0.8297 0.3941
0.3521 0.3521 0.3877
0.4863 0.4863 0.1578
0.5006 0.0425 0.1489
0.5212 0.5212 0.6552
0.5274 0.9676 0.6528
0.6759 0.1618 0.8894
0.6782 0.6782 0.8859
0.8297 0.3215 0.3941
0.8348 0.8348 0.3884
0.9676 0.5274 0.6528
0.9915 0.9915 0.1861
0.9982 0.9982 0.6854
```